V4O7F5: computed X-ray diffraction stick pattern (copper Kα), based on a structure optimized by DFT (PBE+U).
Intensities are scaled so that the largest is 100.

Structural model:
```
data_V4O7F5
_chemical_formula_sum 'V4 O7 F5'
_cell_length_a 5.432
_cell_length_b 5.346
_cell_length_c 7.164
_cell_angle_alpha 90.00
_cell_angle_beta 91.79
_cell_angle_gamma 90.00
_space_group_name_H-M_alt 'P 1 2 1'
_space_group_IT_number 3
loop_
_space_group_symop_operation_xyz
'x,y,z'
'-x,y,-z'
loop_
_atom_site_label
_atom_site_fract_x
_atom_site_fract_y
_atom_site_fract_z
V1 0.037 0.000 0.255
V2 0.455 0.515 0.746
O1 0.000 0.968 0.500
O2 0.202 0.751 0.209
O3 0.214 0.332 0.716
O4 0.500 0.488 0.000
O5 0.500 0.601 0.500
F1 0.000 0.133 0.000
F2 0.287 0.833 0.790
F3 0.298 0.246 0.287
```

Top 8 peaks for 10° ≤ 2θ ≤ 90°, sorted by position:
d 3.809, 2θ = 23.35°, intensity 100
d 3.580, 2θ = 24.87°, intensity 47
d 2.638, 2θ = 33.99°, intensity 12
d 1.905, 2θ = 47.75°, intensity 20
d 1.790, 2θ = 51.02°, intensity 10
d 1.714, 2θ = 53.45°, intensity 7
d 1.697, 2θ = 54.04°, intensity 9
d 1.634, 2θ = 56.30°, intensity 9

=====

VOF3: computed X-ray diffraction stick pattern (copper Kα), based on a structure optimized by DFT (PBE+U).
Intensities are scaled so that the largest is 100.

Structural model:
```
data_VOF3
_chemical_formula_sum 'V4 O4 F12'
_cell_length_a 9.833
_cell_length_b 5.586
_cell_length_c 5.322
_cell_angle_alpha 90.00
_cell_angle_beta 90.00
_cell_angle_gamma 90.00
_space_group_name_H-M_alt 'P n a 21'
_space_group_IT_number 33
loop_
_space_group_symop_operation_xyz
'x,y,z'
'-x,-y,z+1/2'
'-x+1/2,y+1/2,z+1/2'
'x+1/2,-y+1/2,z'
loop_
_atom_site_label
_atom_site_fract_x
_atom_site_fract_y
_atom_site_fract_z
V1 0.241 0.054 0.000
O1 0.199 0.257 0.800
F1 0.081 0.527 0.462
F2 0.085 0.988 0.153
F3 0.218 0.774 0.786
```

Top 8 peaks for 10° ≤ 2θ ≤ 90°, sorted by position:
d 4.917, 2θ = 18.04°, intensity 54
d 3.588, 2θ = 24.82°, intensity 100
d 2.232, 2θ = 40.42°, intensity 9
d 2.209, 2θ = 40.84°, intensity 7
d 1.927, 2θ = 47.17°, intensity 13
d 1.794, 2θ = 50.90°, intensity 11
d 1.752, 2θ = 52.22°, intensity 10
d 1.667, 2θ = 55.09°, intensity 6

=====

VOF3: computed X-ray diffraction stick pattern (copper Kα), based on a structure optimized by DFT (PBE+U).
Intensities are scaled so that the largest is 100.

Structural model:
```
data_VOF3
_chemical_formula_sum 'V4 O4 F12'
_cell_length_a 4.965
_cell_length_b 5.195
_cell_length_c 11.860
_cell_angle_alpha 90.00
_cell_angle_beta 90.00
_cell_angle_gamma 90.00
_space_group_name_H-M_alt 'P n c 2'
_space_group_IT_number 30
loop_
_space_group_symop_operation_xyz
'x,y,z'
'-x,-y,z'
'-x,y+1/2,z+1/2'
'x,-y+1/2,z+1/2'
loop_
_atom_site_label
_atom_site_fract_x
_atom_site_fract_y
_atom_site_fract_z
V1 0.000 0.000 0.000
V2 0.500 0.000 0.150
O1 0.201 0.170 0.109
F1 0.086 0.230 0.896
F2 0.321 0.710 0.517
F3 0.372 0.725 0.745
```

Top 8 peaks for 10° ≤ 2θ ≤ 90°, sorted by position:
d 5.930, 2θ = 14.94°, intensity 33
d 4.758, 2θ = 18.65°, intensity 100
d 3.807, 2θ = 23.37°, intensity 53
d 3.435, 2θ = 25.94°, intensity 15
d 2.657, 2θ = 33.73°, intensity 24
d 2.286, 2θ = 39.42°, intensity 19
d 2.240, 2θ = 40.27°, intensity 12
d 1.818, 2θ = 50.18°, intensity 23

=====

VOF3: computed X-ray diffraction stick pattern (copper Kα), based on a structure optimized by DFT (PBE+U).
Intensities are scaled so that the largest is 100.

Structural model:
```
data_VOF3
_chemical_formula_sum 'V4 O4 F12'
_cell_length_a 8.641
_cell_length_b 8.641
_cell_length_c 4.012
_cell_angle_alpha 90.00
_cell_angle_beta 90.00
_cell_angle_gamma 90.00
_space_group_name_H-M_alt 'P -4 21 m'
_space_group_IT_number 113
loop_
_space_group_symop_operation_xyz
'x,y,z'
'y,-x,-z'
'-x,-y,z'
'-y,x,-z'
'x+1/2,-y+1/2,-z'
'y+1/2,x+1/2,z'
'-x+1/2,y+1/2,-z'
'-y+1/2,-x+1/2,z'
loop_
_atom_site_label
_atom_site_fract_x
_atom_site_fract_y
_atom_site_fract_z
V1 0.130 0.370 0.163
O1 0.123 0.377 0.760
F1 0.096 0.596 0.243
F2 0.106 0.173 0.249
```

Top 8 peaks for 10° ≤ 2θ ≤ 90°, sorted by position:
d 6.110, 2θ = 14.50°, intensity 75
d 3.865, 2θ = 23.01°, intensity 100
d 3.639, 2θ = 24.46°, intensity 68
d 3.353, 2θ = 26.58°, intensity 36
d 2.783, 2θ = 32.16°, intensity 17
d 2.160, 2θ = 41.81°, intensity 50
d 2.006, 2θ = 45.21°, intensity 17
d 1.587, 2θ = 58.12°, intensity 13

=====

V2O3F3: computed X-ray diffraction stick pattern (copper Kα), based on a structure optimized by DFT (PBE+U).
Intensities are scaled so that the largest is 100.

Structural model:
```
data_V2O3F3
_chemical_formula_sum 'V6 O9 F9'
_cell_length_a 5.254
_cell_length_b 5.377
_cell_length_c 12.962
_cell_angle_alpha 89.52
_cell_angle_beta 89.12
_cell_angle_gamma 60.88
_space_group_name_H-M_alt 'P 1'
_space_group_IT_number 1
loop_
_space_group_symop_operation_xyz
'x,y,z'
loop_
_atom_site_label
_atom_site_fract_x
_atom_site_fract_y
_atom_site_fract_z
V1 0.000 0.000 0.000
V2 0.017 0.997 0.503
V3 0.321 0.371 0.161
V4 0.360 0.325 0.670
V5 0.686 0.688 0.344
V6 0.723 0.598 0.832
O1 0.025 0.490 0.730
O2 0.071 0.473 0.256
O3 0.169 0.628 0.071
O4 0.348 0.821 0.394
O5 0.549 0.449 0.771
O6 0.686 0.149 0.065
O7 0.749 0.148 0.593
O8 0.855 0.787 0.431
O9 0.922 0.348 0.920
F1 0.216 0.105 0.101
F2 0.235 0.190 0.549
F3 0.282 0.665 0.584
F4 0.406 0.830 0.924
F5 0.501 0.963 0.735
F6 0.560 0.501 0.222
F7 0.602 0.981 0.249
F8 0.822 0.306 0.399
F9 0.888 0.856 0.882
```

Top 8 peaks for 10° ≤ 2θ ≤ 90°, sorted by position:
d 3.801, 2θ = 23.40°, intensity 95
d 3.765, 2θ = 23.63°, intensity 92
d 3.723, 2θ = 23.90°, intensity 100
d 2.690, 2θ = 33.31°, intensity 18
d 2.666, 2θ = 33.62°, intensity 19
d 1.901, 2θ = 47.86°, intensity 22
d 1.883, 2θ = 48.34°, intensity 21
d 1.861, 2θ = 48.94°, intensity 21

=====

V6O5F19: computed X-ray diffraction stick pattern (copper Kα), based on a structure optimized by DFT (PBE+U).
Intensities are scaled so that the largest is 100.

Structural model:
```
data_V6O5F19
_chemical_formula_sum 'V6 O5 F19'
_cell_length_a 5.481
_cell_length_b 5.622
_cell_length_c 14.610
_cell_angle_alpha 79.02
_cell_angle_beta 89.32
_cell_angle_gamma 86.69
_space_group_name_H-M_alt 'P 1'
_space_group_IT_number 1
loop_
_space_group_symop_operation_xyz
'x,y,z'
loop_
_atom_site_label
_atom_site_fract_x
_atom_site_fract_y
_atom_site_fract_z
V1 0.000 0.000 0.000
V2 0.006 0.667 0.669
V3 0.138 0.373 0.326
V4 0.504 0.173 0.660
V5 0.530 0.533 0.996
V6 0.650 0.927 0.336
O1 0.305 0.991 0.639
O2 0.366 0.182 0.307
O3 0.805 0.788 0.012
O4 0.816 0.455 0.690
O5 0.866 0.110 0.347
F1 0.121 0.981 0.113
F2 0.125 0.320 0.449
F3 0.135 0.673 0.779
F4 0.286 0.814 0.971
F5 0.291 0.649 0.313
F6 0.295 0.473 0.641
F7 0.296 0.323 0.983
F8 0.481 0.168 0.781
F9 0.493 0.523 0.117
F10 0.499 0.862 0.445
F11 0.629 0.600 0.879
F12 0.631 0.933 0.215
F13 0.636 0.282 0.549
F14 0.783 0.263 0.024
F15 0.784 0.940 0.687
F16 0.808 0.630 0.356
F17 0.981 0.781 0.548
F18 0.986 0.135 0.881
F19 0.988 0.448 0.216
```

Top 8 peaks for 10° ≤ 2θ ≤ 90°, sorted by position:
d 4.781, 2θ = 18.56°, intensity 100
d 3.997, 2θ = 22.24°, intensity 16
d 3.718, 2θ = 23.93°, intensity 98
d 3.539, 2θ = 25.16°, intensity 98
d 2.390, 2θ = 37.63°, intensity 15
d 2.190, 2θ = 41.21°, intensity 15
d 1.905, 2θ = 47.75°, intensity 18
d 1.711, 2θ = 53.55°, intensity 16